Simulated XRD peak list of LiVP2O8 for a wavelength of 1.5418 Å, from a DFT-relaxed cell (GGA+U, the Materials Project).
Neutral-atom scattering factors, no anomalous dispersion.

Main lines, by intensity (10° ≤ 2θ ≤ 90°):
| d (Å) | I_rel |
| --- | --- |
| 6.412 | 100 |
| 3.754 | 80 |
| 3.608 | 57 |
| 3.452 | 48 |
| 2.680 | 41 |
| 3.690 | 36 |
| 2.435 | 28 |
| 4.372 | 26 |
| 3.362 | 22 |
| 2.807 | 20 |

Crystal structure
Cell lengths 4.873, 16.904, 8.059 Å; angles 90.00, 120.70, 90.00 degrees
Sites, in units of the cell vectors:
Li 0.210 0.113 0.004
Li 0.210 0.387 0.504
Li 0.790 0.613 0.496
Li 0.790 0.887 0.996
V 0.307 0.630 0.008
V 0.307 0.870 0.508
V 0.693 0.130 0.492
V 0.693 0.370 0.992
P 0.012 0.036 0.275
P 0.012 0.464 0.775
P 0.391 0.212 0.736
P 0.391 0.288 0.236
P 0.609 0.712 0.764
P 0.609 0.788 0.264
P 0.988 0.536 0.225
P 0.988 0.964 0.725
O 0.041 0.556 0.804
O 0.041 0.944 0.304
O 0.048 0.194 0.555
O 0.048 0.306 0.055
O 0.062 0.560 0.421
O 0.062 0.940 0.921
O 0.252 0.565 0.183
O 0.252 0.935 0.683
O 0.335 0.072 0.438
O 0.335 0.428 0.938
O 0.367 0.689 0.831
O 0.367 0.811 0.331
O 0.423 0.196 0.267
O 0.423 0.304 0.767
O 0.442 0.170 0.912
O 0.442 0.330 0.412
O 0.558 0.670 0.588
O 0.558 0.830 0.088
O 0.577 0.696 0.233
O 0.577 0.804 0.733
O 0.633 0.189 0.669
O 0.633 0.311 0.169
O 0.665 0.572 0.062
O 0.665 0.928 0.562
O 0.748 0.065 0.317
O 0.748 0.435 0.817
O 0.938 0.060 0.079
O 0.938 0.440 0.579
O 0.952 0.694 0.945
O 0.952 0.806 0.445
O 0.959 0.056 0.696
O 0.959 0.444 0.196